This entry pairs a crystal structure of ScV2Ga4 with its theoretical powder XRD pattern. Radiation: copper Kα. Structure: a cell relaxed with PBE.
Kinematic intensities with the Lorentz-polarization factor, no thermal factor.

Atomic structure:
a = 6.5073 Å, b = 6.5073 Å, c = 5.2041 Å
α = 90.00°, β = 90.00°, γ = 90.00°
Space group I4/mmm (No. 139)
One atom of each set of equivalent atoms:
Sc 0.0000 0.0000 0.0000 [2 per cell]
V 0.0000 0.5000 0.2500 [4 per cell]
Ga 0.2000 0.2000 0.5000 [8 per cell]

Most intense lines, 10° ≤ 2θ ≤ 90°, in order of rising 2θ:
| 2θ/deg | I/Imax |
| --- | --- |
| 34.5 | 34 |
| 35.3 | 63 |
| 39.2 | 96 |
| 39.8 | 48 |
| 44.6 | 100 |
| 45.3 | 88 |


This entry pairs a crystal structure of Dy4CdPd with its theoretical powder XRD pattern. Radiation: copper Kα. Structure: a cell relaxed with PBE.
Kinematic intensities with the Lorentz-polarization factor, no thermal factor.

Atomic structure:
a = 13.7265 Å, b = 13.7265 Å, c = 13.7265 Å
α = 90.00°, β = 90.00°, γ = 90.00°
Space group F-43m (No. 216)
One atom of each set of equivalent atoms:
Dy 0.0000 0.0000 0.1835 [24 per cell]
Dy 0.0613 0.2500 0.7500 [24 per cell]
Dy 0.1038 0.1038 0.3962 [16 per cell]
Cd 0.1677 0.1677 0.1677 [16 per cell]
Pd 0.1058 0.1058 0.6058 [16 per cell]

Most intense lines, 10° ≤ 2θ ≤ 90°, in order of rising 2θ:
| 2θ/deg | I/Imax |
| --- | --- |
| 28.3 | 25 |
| 31.9 | 48 |
| 33.9 | 100 |
| 37.0 | 30 |
| 56.9 | 44 |
| 67.9 | 16 |


This entry pairs a crystal structure of Al2GeH2O6 with its theoretical powder XRD pattern. Radiation: copper Kα. Structure: a cell relaxed with PBE.
Kinematic intensities with the Lorentz-polarization factor, no thermal factor.

Atomic structure:
a = 5.4102 Å, b = 8.4484 Å, c = 9.0618 Å
α = 90.00°, β = 102.93°, γ = 90.00°
Space group C2/c (No. 15)
One atom of each set of equivalent atoms:
Al 0.0754 0.1331 0.4144 [8 per cell]
Ge 0.0000 0.2240 0.7500 [4 per cell]
H 0.0513 0.4134 0.0676 [8 per cell]
O 0.0728 0.0935 0.9110 [8 per cell]
O 0.1008 0.3491 0.4564 [8 per cell]
O 0.2287 0.1525 0.2395 [8 per cell]

Most intense lines, 10° ≤ 2θ ≤ 90°, in order of rising 2θ:
| 2θ/deg | I/Imax |
| --- | --- |
| 19.8 | 74 |
| 21.0 | 75 |
| 23.9 | 89 |
| 29.3 | 55 |
| 33.1 | 100 |
| 39.7 | 56 |


This entry pairs a crystal structure of NaCdN with its theoretical powder XRD pattern. Radiation: copper Kα. Structure: a cell relaxed with PBE.
Kinematic intensities with the Lorentz-polarization factor, no thermal factor.

Atomic structure:
a = 4.7758 Å, b = 3.8282 Å, c = 6.7450 Å
α = 90.00°, β = 90.00°, γ = 90.00°
Space group Amm2 (No. 38)
One atom of each set of equivalent atoms:
Na 0.0000 0.0000 0.0000 [2 per cell]
Cd 0.5000 0.0000 0.3300 [2 per cell]
N 0.5000 0.0000 0.0013 [2 per cell]

Most intense lines, 10° ≤ 2θ ≤ 90°, in order of rising 2θ:
| 2θ/deg | I/Imax |
| --- | --- |
| 18.6 | 79 |
| 26.4 | 30 |
| 26.8 | 61 |
| 32.5 | 51 |
| 32.8 | 100 |
| 46.8 | 54 |